Simulated powder diffractogram
Compound: Sr2Hg4Pd5
Radiation: Cu Kα, 1.54184 Å
Structure: a structure optimized by DFT (PBE)

Cell and atoms:
a = 10.042 Å, b = 9.220 Å, c = 5.766 Å
α = 80.57°, β = 64.93°, γ = 34.50°
Sites, in units of the cell vectors:
Sr1 0.125 0.125 0.875
Sr2 0.875 0.875 0.125
Hg1 0.210 0.532 0.468
Hg2 0.468 0.790 0.210
Hg3 0.532 0.210 0.790
Hg4 0.790 0.468 0.532
Pd1 0.000 0.000 0.500
Pd2 0.250 0.250 0.250
Pd3 0.500 0.500 0.000
Pd4 0.500 0.500 0.500
Pd5 0.750 0.750 0.750

Peak list (6 most intense, 15 to 90 degrees two-theta, in order of rising 2θ)
| 2θ (°) | I (rel.) |
| --- | --- |
| 18.21 | 51 |
| 31.46 | 57 |
| 34.73 | 96 |
| 36.75 | 100 |
| 40.58 | 48 |
| 41.35 | 48 |

Simulated powder diffractogram
Compound: Sr2Hg5Pd5
Radiation: Cu Kα, 1.54184 Å
Structure: a structure optimized by DFT (PBE)

Cell and atoms:
a = 4.546 Å, b = 5.954 Å, c = 9.962 Å
α = 90.00°, β = 90.00°, γ = 90.00°
Sites, in units of the cell vectors:
Sr1 0.000 0.000 0.000
Sr2 0.000 0.500 0.500
Hg1 0.500 0.000 0.500
Hg2 0.500 0.251 0.239
Hg3 0.500 0.251 0.761
Hg4 0.500 0.749 0.239
Hg5 0.500 0.749 0.761
Pd1 0.000 0.000 0.333
Pd2 0.000 0.000 0.667
Pd3 0.000 0.500 0.163
Pd4 0.000 0.500 0.837
Pd5 0.500 0.500 0.000

Peak list (6 most intense, 15 to 90 degrees two-theta, in order of rising 2θ)
| 2θ (°) | I (rel.) |
| --- | --- |
| 35.12 | 65 |
| 36.06 | 93 |
| 36.76 | 85 |
| 39.65 | 61 |
| 40.49 | 100 |
| 41.33 | 47 |

Simulated powder diffractogram
Compound: Sr3Hg2Pd7
Radiation: Cu Kα, 1.54184 Å
Structure: a structure optimized by DFT (PBE)

Cell and atoms:
a = 9.583 Å, b = 9.583 Å, c = 9.583 Å
α = 34.70°, β = 34.70°, γ = 34.70°
Sites, in units of the cell vectors:
Sr1 0.000 0.000 0.000
Sr2 0.140 0.140 0.140
Sr3 0.860 0.860 0.860
Hg1 0.333 0.333 0.333
Hg2 0.667 0.667 0.667
Pd1 0.084 0.585 0.585
Pd2 0.415 0.415 0.916
Pd3 0.415 0.916 0.415
Pd4 0.500 0.500 0.500
Pd5 0.585 0.084 0.585
Pd6 0.585 0.585 0.084
Pd7 0.916 0.415 0.415

Peak list (6 most intense, 15 to 90 degrees two-theta, in order of rising 2θ)
| 2θ (°) | I (rel.) |
| --- | --- |
| 18.22 | 31 |
| 31.30 | 30 |
| 37.28 | 100 |
| 40.08 | 58 |
| 59.70 | 25 |
| 65.31 | 23 |

Simulated powder diffractogram
Compound: Sr2Hg6Pd3
Radiation: Cu Kα, 1.54184 Å
Structure: a structure optimized by DFT (PBE)

Cell and atoms:
a = 8.343 Å, b = 8.343 Å, c = 4.625 Å
α = 90.00°, β = 90.00°, γ = 120.00°
Sites, in units of the cell vectors:
Sr1 0.333 0.667 0.000
Sr2 0.667 0.333 0.000
Hg1 0.000 0.208 0.000
Hg2 0.000 0.710 0.500
Hg3 0.208 0.000 0.000
Hg4 0.290 0.290 0.500
Hg5 0.710 0.000 0.500
Hg6 0.792 0.792 0.000
Pd1 0.000 0.385 0.500
Pd2 0.385 0.000 0.500
Pd3 0.615 0.615 0.500

Peak list (6 most intense, 15 to 90 degrees two-theta, in order of rising 2θ)
| 2θ (°) | I (rel.) |
| --- | --- |
| 28.82 | 81 |
| 32.79 | 22 |
| 37.34 | 24 |
| 38.27 | 100 |
| 38.95 | 32 |
| 62.21 | 20 |

Simulated powder diffractogram
Compound: Sr2Hg5Pd5
Radiation: Cu Kα, 1.54184 Å
Structure: a structure optimized by DFT (PBE)

Cell and atoms:
a = 4.549 Å, b = 5.821 Å, c = 10.103 Å
α = 90.00°, β = 90.00°, γ = 90.00°
Sites, in units of the cell vectors:
Sr1 0.000 0.000 0.000
Sr2 0.000 0.500 0.500
Hg1 0.000 0.000 0.317
Hg2 0.000 0.000 0.683
Hg3 0.000 0.500 0.165
Hg4 0.000 0.500 0.835
Hg5 0.500 0.000 0.500
Pd1 0.500 0.255 0.250
Pd2 0.500 0.255 0.750
Pd3 0.500 0.500 0.000
Pd4 0.500 0.745 0.250
Pd5 0.500 0.745 0.750

Peak list (6 most intense, 15 to 90 degrees two-theta, in order of rising 2θ)
| 2θ (°) | I (rel.) |
| --- | --- |
| 17.58 | 45 |
| 36.62 | 100 |
| 39.62 | 27 |
| 40.90 | 46 |
| 58.51 | 25 |
| 77.87 | 21 |

Simulated powder diffractogram
Compound: Sr3HgPd
Radiation: Cu Kα, 1.54184 Å
Structure: a structure optimized by DFT (PBE)

Cell and atoms:
a = 9.982 Å, b = 8.326 Å, c = 9.022 Å
α = 90.00°, β = 107.04°, γ = 90.00°
Sites, in units of the cell vectors:
Sr1 0.078 0.010 0.219
Sr2 0.078 0.490 0.719
Sr3 0.310 0.157 0.622
Sr4 0.310 0.343 0.122
Sr5 0.359 0.692 0.504
Sr6 0.359 0.808 0.004
Sr7 0.641 0.192 0.996
Sr8 0.641 0.308 0.496
Sr9 0.690 0.657 0.878
Sr10 0.690 0.843 0.378
Sr11 0.922 0.510 0.281
Sr12 0.922 0.990 0.781
Hg1 0.052 0.677 0.027
Hg2 0.052 0.823 0.527
Hg3 0.948 0.177 0.473
Hg4 0.948 0.323 0.973
Pd1 0.414 0.032 0.339
Pd2 0.414 0.468 0.839
Pd3 0.586 0.532 0.161
Pd4 0.586 0.968 0.661

Peak list (6 most intense, 15 to 90 degrees two-theta, in order of rising 2θ)
| 2θ (°) | I (rel.) |
| --- | --- |
| 18.60 | 37 |
| 29.83 | 74 |
| 31.60 | 100 |
| 32.19 | 58 |
| 34.40 | 90 |
| 34.53 | 39 |

Simulated powder diffractogram
Compound: Sr2Hg9Pd6
Radiation: Cu Kα, 1.54184 Å
Structure: a structure optimized by DFT (PBE)

Cell and atoms:
a = 6.098 Å, b = 6.098 Å, c = 13.076 Å
α = 90.00°, β = 90.00°, γ = 120.00°
Sites, in units of the cell vectors:
Sr1 0.000 0.000 0.171
Sr2 0.000 0.000 0.829
Hg1 0.000 0.500 0.000
Hg2 0.000 0.500 0.337
Hg3 0.000 0.500 0.663
Hg4 0.500 0.000 0.000
Hg5 0.500 0.000 0.337
Hg6 0.500 0.000 0.663
Hg7 0.500 0.500 0.000
Hg8 0.500 0.500 0.337
Hg9 0.500 0.500 0.663
Pd1 0.333 0.667 0.169
Pd2 0.333 0.667 0.500
Pd3 0.333 0.667 0.831
Pd4 0.667 0.333 0.169
Pd5 0.667 0.333 0.500
Pd6 0.667 0.333 0.831

Peak list (6 most intense, 15 to 90 degrees two-theta, in order of rising 2θ)
| 2θ (°) | I (rel.) |
| --- | --- |
| 16.79 | 63 |
| 33.95 | 56 |
| 35.95 | 71 |
| 39.92 | 100 |
| 54.60 | 29 |
| 76.22 | 27 |

Simulated powder diffractogram
Compound: Sr3HgPd
Radiation: Cu Kα, 1.54184 Å
Structure: a structure optimized by DFT (PBE)

Cell and atoms:
a = 9.518 Å, b = 9.518 Å, c = 4.428 Å
α = 90.00°, β = 90.00°, γ = 110.49°
Sites, in units of the cell vectors:
Sr1 0.167 0.833 0.000
Sr2 0.188 0.437 0.500
Sr3 0.437 0.188 0.500
Sr4 0.563 0.812 0.500
Sr5 0.812 0.563 0.500
Sr6 0.833 0.167 0.000
Hg1 0.000 0.000 0.500
Hg2 0.500 0.500 0.000
Pd1 0.000 0.500 0.000
Pd2 0.500 0.000 0.000

Peak list (6 most intense, 15 to 90 degrees two-theta, in order of rising 2θ)
| 2θ (°) | I (rel.) |
| --- | --- |
| 19.92 | 68 |
| 27.68 | 100 |
| 32.47 | 43 |
| 34.79 | 38 |
| 38.31 | 30 |
| 40.74 | 33 |